[1]
Diffraction record for Li4Mg7Hg. The X-ray powder pattern is simulated, not measured: it uses the GGA-PBE geometry in Alexandria and λ = 1.5418 Å (Cu Kα).

Structural model:
Unit cell a=14.057 b=5.236 c=8.327 alpha=90.00 beta=119.71 gamma=90.00
Space group C2/m (No. 12)
One atom of each set of equivalent atoms:
1 Li 0.055 0.000 0.193 x4
2 Li 0.177 0.000 0.862 x4
3 Mg 0.000 0.000 0.500 x2
4 Mg 0.084 0.500 0.935 x4
5 Mg 0.189 0.500 0.369 x4
6 Mg 0.234 0.500 0.762 x4
7 Hg 0.000 0.500 0.500 x2

Top 10 peaks for 2θ from 5° to 70°, by angle:
(0 0 1), 12.24 deg, I 91
(2 0 -1), 13.57 deg, I 62
(2 0 0), 14.51 deg, I 42
(1 1 0), 18.44 deg, I 100
(1 1 -1), 20.07 deg, I 47
(2 0 -2), 21.47 deg, I 32
(4 0 -1), 25.44 deg, I 32
(1 1 2), 33.79 deg, I 33
(0 2 0), 34.25 deg, I 34
(5 1 -1), 36.79 deg, I 74


[2]
Diffraction record for LaYHo6. The X-ray powder pattern is simulated, not measured: it uses the GGA-PBE geometry in Alexandria and λ = 1.5418 Å (Cu Kα).

Structural model:
Unit cell a=7.486 b=11.750 c=5.860 alpha=90.00 beta=90.00 gamma=90.00
Space group Cmmm (No. 65)
One atom of each set of equivalent atoms:
1 La 0.000 0.000 0.000 x2
2 Y 0.000 0.500 0.000 x2
3 Ho 0.000 0.244 0.500 x4
4 Ho 0.237 0.500 0.500 x4
5 Ho 0.250 0.250 0.000 x4

Top 10 peaks for 2θ from 5° to 70°, by angle:
(0 0 2), 30.47 deg, I 58
(2 2 1), 32.21 deg, I 100
(0 4 2), 43.63 deg, I 22
(4 0 0), 48.65 deg, I 8
(2 6 1), 55.21 deg, I 22
(2 2 3), 55.31 deg, I 22
(4 0 2), 58.50 deg, I 18
(0 8 0), 63.32 deg, I 4
(0 0 4), 63.51 deg, I 4
(4 4 2), 67.40 deg, I 12


[3]
Diffraction record for SrCd4Rh. The X-ray powder pattern is simulated, not measured: it uses the GGA-PBE geometry in Alexandria and λ = 1.5418 Å (Cu Kα).

Structural model:
Unit cell a=8.638 b=4.399 c=7.618 alpha=90.00 beta=90.00 gamma=90.00
Space group Pmma (No. 51)
One atom of each set of equivalent atoms:
1 Sr 0.250 0.000 0.101 x2
2 Cd 0.000 0.000 0.500 x2
3 Cd 0.061 0.500 0.809 x4
4 Cd 0.250 0.500 0.460 x2
5 Rh 0.250 0.000 0.710 x2

Top 10 peaks for 2θ from 5° to 70°, by angle:
(0 0 1), 11.62 deg, I 23
(1 0 1), 15.51 deg, I 26
(2 1 1), 31.31 deg, I 100
(1 1 2), 32.79 deg, I 49
(0 0 3), 35.35 deg, I 21
(1 0 3), 36.90 deg, I 22
(2 1 2), 37.54 deg, I 90
(3 1 1), 39.22 deg, I 49
(0 2 0), 41.04 deg, I 56
(0 1 5), 64.75 deg, I 20


[4]
Diffraction record for Sr7CaTi8O24. The X-ray powder pattern is simulated, not measured: it uses the GGA-PBE geometry in Alexandria and λ = 1.5418 Å (Cu Kα).

Structural model:
Unit cell a=7.874 b=7.874 c=7.874 alpha=90.00 beta=90.00 gamma=90.00
Space group Pm-3m (No. 221)
One atom of each set of equivalent atoms:
1 Sr 0.000 0.000 0.000 x1
2 Sr 0.000 0.000 0.500 x3
3 Sr 0.000 0.500 0.500 x3
4 Ca 0.500 0.500 0.500 x1
5 Ti 0.251 0.251 0.251 x8
6 O 0.000 0.251 0.251 x12
7 O 0.252 0.252 0.500 x12

Top 10 peaks for 2θ from 5° to 70°, by angle:
(1 0 0), 11.24 deg, I 1
(1 1 0), 15.92 deg, I 1
(2 0 0), 22.59 deg, I 2
(2 1 0), 25.29 deg, I 1
(2 2 0), 32.15 deg, I 100
(2 2 2), 39.65 deg, I 20
(4 0 0), 46.11 deg, I 43
(4 2 0), 51.94 deg, I 2
(4 2 2), 57.33 deg, I 37
(4 4 0), 67.27 deg, I 24